Structure and simulated X-ray powder pattern of TiTl2WO6 (a structure optimized by DFT (PBE+U); Cu Ka).
Lines closer than 0.1° are merged.

Structural model:
```
10
Lattice="-2.6845 2.6845 5.7180 2.6845 -2.6845 5.7180 2.6845 2.6845 -5.7180" Properties=species:S:1:pos:R:3 pbc="T T T"
Ti 0.0000 0.0000 0.0000
Tl 2.6845 0.0000 2.7326
Tl 0.0000 2.6845 2.7326
W 0.0000 0.0000 5.7613
O 1.3634 1.3634 0.5250
O 1.3211 -1.3211 6.2430
O 0.0000 0.0000 3.9727
O -1.3211 1.3211 6.2430
O 1.3211 1.3211 6.2430
O 0.0000 0.0000 9.7195
```

The 10 most intense peaks (5 to 70 degrees two-theta), low angle first:
2theta  d (Å)  I_rel
18.25  4.860  13
28.22  3.163  100
31.29  2.859  19
33.38  2.685  30
36.99  2.430  7
46.40  1.957  23
47.92  1.898  16
53.82  1.703  17
56.54  1.628  29
58.35  1.581  13